Calculated powder diffractogram
Compound: BiO2
Radiation: Cu Kα X-rays
Structure: DFT lattice parameters and positions (GGA-PBE)
No peak broadening, texture or thermal motion is included.

Top 10 peaks for 10 to 90 degrees two-theta, low angle first:
d/Å	I/Imax
6.123	12.6
3.868	38.7
3.333	31.3
3.211	100.0
2.525	19.7
2.081	39.0
1.900	20.8
1.832	10.5
1.765	10.4
1.605	10.7

Crystal structure
```
data_BiO2
_cell_length_a 8.676
_cell_length_b 8.676
_cell_length_c 8.676
_cell_angle_alpha 134.81
_cell_angle_beta 53.85
_cell_angle_gamma 152.26
_symmetry_space_group_name_H-M 'P 1'
_symmetry_Int_Tables_number 1
loop_
_symmetry_equiv_pos_as_xyz
'x,y,z'
loop_
_atom_site_label
_atom_site_fract_x
_atom_site_fract_y
_atom_site_fract_z
_atom_site_occupancy
Bi1 0.112 0.218 0.329 1
Bi2 0.388 0.718 0.106 1
Bi3 0.612 0.282 0.894 1
Bi4 0.888 0.782 0.671 1
O1 0.087 0.891 0.978 1
O2 0.250 0.213 0.463 1
O3 0.250 0.713 0.963 1
O4 0.413 0.391 0.804 1
O5 0.587 0.609 0.196 1
O6 0.750 0.287 0.037 1
O7 0.750 0.787 0.537 1
O8 0.913 0.109 0.022 1
```

=====

Calculated powder diffractogram
Compound: BiO2
Radiation: Cu Kα X-rays
Structure: DFT lattice parameters and positions (GGA-PBE)
No peak broadening, texture or thermal motion is included.

Top 10 peaks for 10 to 90 degrees two-theta, low angle first:
d/Å	I/Imax
5.808	9.7
3.244	52.5
3.176	100.0
2.294	22.5
2.201	14.9
1.860	47.6
1.821	21.5
1.588	14.5
1.397	9.5
1.193	11.6

Crystal structure
```
data_BiO2
_cell_length_a 7.577
_cell_length_b 7.577
_cell_length_c 7.577
_cell_angle_alpha 129.24
_cell_angle_beta 62.37
_cell_angle_gamma 146.23
_symmetry_space_group_name_H-M 'P 1'
_symmetry_Int_Tables_number 1
loop_
_symmetry_equiv_pos_as_xyz
'x,y,z'
loop_
_atom_site_label
_atom_site_fract_x
_atom_site_fract_y
_atom_site_fract_z
_atom_site_occupancy
Bi1 0.124 0.215 0.339 1
Bi2 0.376 0.715 0.092 1
Bi3 0.624 0.285 0.908 1
Bi4 0.876 0.785 0.661 1
O1 0.077 0.871 0.948 1
O2 0.224 0.573 0.797 1
O3 0.276 0.073 0.349 1
O4 0.423 0.371 0.794 1
O5 0.577 0.629 0.206 1
O6 0.724 0.927 0.651 1
O7 0.776 0.427 0.203 1
O8 0.923 0.129 0.052 1
```

=====

Calculated powder diffractogram
Compound: BiO2
Radiation: Cu Kα X-rays
Structure: DFT lattice parameters and positions (GGA-PBE)
No peak broadening, texture or thermal motion is included.

Top 10 peaks for 10 to 90 degrees two-theta, low angle first:
d/Å	I/Imax
3.394	100.0
3.094	77.6
2.983	31.2
2.807	26.2
2.641	21.1
1.977	24.8
1.924	23.5
1.845	19.5
1.760	18.3
1.697	30.1

Crystal structure
```
data_BiO2
_cell_length_a 6.809
_cell_length_b 6.809
_cell_length_c 5.677
_cell_angle_alpha 106.60
_cell_angle_beta 106.60
_cell_angle_gamma 45.64
_symmetry_space_group_name_H-M 'P 1'
_symmetry_Int_Tables_number 1
loop_
_symmetry_equiv_pos_as_xyz
'x,y,z'
loop_
_atom_site_label
_atom_site_fract_x
_atom_site_fract_y
_atom_site_fract_z
_atom_site_occupancy
Bi1 0.000 0.500 0.000 1
Bi2 0.229 0.771 0.750 1
Bi3 0.500 0.000 0.500 1
Bi4 0.771 0.229 0.250 1
O1 0.007 0.179 0.978 1
O2 0.179 0.007 0.478 1
O3 0.264 0.385 0.350 1
O4 0.385 0.264 0.850 1
O5 0.615 0.736 0.150 1
O6 0.736 0.615 0.650 1
O7 0.821 0.993 0.522 1
O8 0.993 0.821 0.022 1
```

=====

Calculated powder diffractogram
Compound: Bi2O3
Radiation: Cu Kα X-rays
Structure: DFT lattice parameters and positions (GGA-PBE)
No peak broadening, texture or thermal motion is included.

Top 10 peaks for 10 to 90 degrees two-theta, low angle first:
d/Å	I/Imax
5.634	27.3
3.348	27.5
3.235	100.0
3.208	29.6
2.945	30.2
2.782	28.2
2.610	30.4
2.438	21.8
1.819	33.6
1.556	25.1

Crystal structure
```
data_Bi2O3
_cell_length_a 6.151
_cell_length_b 6.151
_cell_length_c 19.362
_cell_angle_alpha 90.00
_cell_angle_beta 90.00
_cell_angle_gamma 146.45
_symmetry_space_group_name_H-M 'P 1'
_symmetry_Int_Tables_number 1
loop_
_symmetry_equiv_pos_as_xyz
'x,y,z'
loop_
_atom_site_label
_atom_site_fract_x
_atom_site_fract_y
_atom_site_fract_z
_atom_site_occupancy
Bi1 0.102 0.898 0.644 1
Bi2 0.102 0.898 0.856 1
Bi3 0.369 0.631 0.544 1
Bi4 0.369 0.631 0.956 1
Bi5 0.631 0.369 0.044 1
Bi6 0.631 0.369 0.456 1
Bi7 0.898 0.102 0.144 1
Bi8 0.898 0.102 0.356 1
O1 0.000 0.000 0.000 1
O2 0.000 0.000 0.500 1
O3 0.140 0.860 0.750 1
O4 0.255 0.745 0.072 1
O5 0.255 0.745 0.428 1
O6 0.484 0.516 0.640 1
O7 0.484 0.516 0.860 1
O8 0.516 0.484 0.140 1
O9 0.516 0.484 0.360 1
O10 0.745 0.255 0.572 1
O11 0.745 0.255 0.928 1
O12 0.860 0.140 0.250 1
```

=====

Calculated powder diffractogram
Compound: Bi2O3
Radiation: Cu Kα X-rays
Structure: DFT lattice parameters and positions (GGA-PBE)
No peak broadening, texture or thermal motion is included.

Top 10 peaks for 10 to 90 degrees two-theta, low angle first:
d/Å	I/Imax
5.231	21.5
3.359	100.0
2.963	20.1
2.915	9.2
2.852	13.5
2.535	12.7
2.169	10.6
2.078	10.1
2.055	12.5
1.778	18.7

Crystal structure
```
data_Bi2O3
_cell_length_a 11.853
_cell_length_b 5.829
_cell_length_c 5.704
_cell_angle_alpha 90.00
_cell_angle_beta 90.00
_cell_angle_gamma 90.00
_symmetry_space_group_name_H-M 'P 1'
_symmetry_Int_Tables_number 1
loop_
_symmetry_equiv_pos_as_xyz
'x,y,z'
loop_
_atom_site_label
_atom_site_fract_x
_atom_site_fract_y
_atom_site_fract_z
_atom_site_occupancy
Bi1 0.128 0.186 0.051 1
Bi2 0.128 0.814 0.551 1
Bi3 0.372 0.314 0.551 1
Bi4 0.372 0.686 0.051 1
Bi5 0.628 0.314 0.949 1
Bi6 0.628 0.686 0.449 1
Bi7 0.872 0.186 0.449 1
Bi8 0.872 0.814 0.949 1
O1 0.000 0.053 0.750 1
O2 0.000 0.947 0.250 1
O3 0.215 0.091 0.388 1
O4 0.215 0.909 0.888 1
O5 0.285 0.409 0.888 1
O6 0.285 0.591 0.388 1
O7 0.500 0.447 0.250 1
O8 0.500 0.553 0.750 1
O9 0.715 0.409 0.612 1
O10 0.715 0.591 0.112 1
O11 0.785 0.091 0.112 1
O12 0.785 0.909 0.612 1
```

=====

Calculated powder diffractogram
Compound: BiO
Radiation: Cu Kα X-rays
Structure: DFT lattice parameters and positions (GGA-PBE)
No peak broadening, texture or thermal motion is included.

Top 10 peaks for 10 to 90 degrees two-theta, low angle first:
d/Å	I/Imax
3.249	100.0
3.122	31.5
2.785	56.9
2.000	30.8
1.940	27.9
1.703	16.3
1.684	32.5
1.648	14.1
1.624	12.3
1.297	13.6

Crystal structure
```
data_BiO
_cell_length_a 4.000
_cell_length_b 4.000
_cell_length_c 9.367
_cell_angle_alpha 90.00
_cell_angle_beta 90.00
_cell_angle_gamma 120.00
_symmetry_space_group_name_H-M 'P 1'
_symmetry_Int_Tables_number 1
loop_
_symmetry_equiv_pos_as_xyz
'x,y,z'
loop_
_atom_site_label
_atom_site_fract_x
_atom_site_fract_y
_atom_site_fract_z
_atom_site_occupancy
Bi1 0.000 0.000 0.000 1
Bi2 0.333 0.667 0.667 1
Bi3 0.667 0.333 0.333 1
O1 0.000 0.000 0.260 1
O2 0.333 0.667 0.927 1
O3 0.667 0.333 0.594 1
```

=====

Calculated powder diffractogram
Compound: BiO2
Radiation: Cu Kα X-rays
Structure: DFT lattice parameters and positions (GGA-PBE)
No peak broadening, texture or thermal motion is included.

Top 10 peaks for 10 to 90 degrees two-theta, low angle first:
d/Å	I/Imax
5.906	100.0
5.526	75.4
3.057	33.7
2.953	46.9
2.895	29.2
2.763	38.3
2.489	25.6
2.463	50.9
1.750	34.2
1.528	16.2

Crystal structure
```
data_BiO2
_cell_length_a 7.019
_cell_length_b 7.019
_cell_length_c 7.019
_cell_angle_alpha 123.51
_cell_angle_beta 116.97
_cell_angle_gamma 89.68
_symmetry_space_group_name_H-M 'P 1'
_symmetry_Int_Tables_number 1
loop_
_symmetry_equiv_pos_as_xyz
'x,y,z'
loop_
_atom_site_label
_atom_site_fract_x
_atom_site_fract_y
_atom_site_fract_z
_atom_site_occupancy
Bi1 0.000 0.000 0.000 1
Bi2 0.500 0.000 0.000 1
Bi3 0.500 0.000 0.500 1
Bi4 0.500 0.500 0.500 1
O1 0.288 0.267 0.479 1
O2 0.288 0.808 0.021 1
O3 0.295 0.242 0.053 1
O4 0.310 0.758 0.553 1
O5 0.690 0.242 0.447 1
O6 0.705 0.758 0.947 1
O7 0.712 0.192 0.979 1
O8 0.712 0.733 0.521 1
```

=====

Calculated powder diffractogram
Compound: BiO2
Radiation: Cu Kα X-rays
Structure: DFT lattice parameters and positions (GGA-PBE)
No peak broadening, texture or thermal motion is included.

Top 10 peaks for 10 to 90 degrees two-theta, low angle first:
d/Å	I/Imax
3.662	100.0
2.935	97.3
2.589	30.5
1.942	74.9
1.831	16.9
1.638	18.8
1.602	19.7
1.553	21.3
1.332	18.0
1.185	14.8

Crystal structure
```
data_BiO2
_cell_length_a 5.179
_cell_length_b 5.179
_cell_length_c 3.563
_cell_angle_alpha 90.00
_cell_angle_beta 90.00
_cell_angle_gamma 90.00
_symmetry_space_group_name_H-M 'P 1'
_symmetry_Int_Tables_number 1
loop_
_symmetry_equiv_pos_as_xyz
'x,y,z'
loop_
_atom_site_label
_atom_site_fract_x
_atom_site_fract_y
_atom_site_fract_z
_atom_site_occupancy
Bi1 0.000 0.000 0.000 1
Bi2 0.500 0.500 0.500 1
O1 0.193 0.193 0.500 1
O2 0.307 0.693 0.000 1
O3 0.693 0.307 0.000 1
O4 0.807 0.807 0.500 1
```

=====

Calculated powder diffractogram
Compound: Bi4O7
Radiation: Cu Kα X-rays
Structure: DFT lattice parameters and positions (GGA-PBE)
No peak broadening, texture or thermal motion is included.

Top 10 peaks for 10 to 90 degrees two-theta, low angle first:
d/Å	I/Imax
3.269	100.0
3.220	48.5
3.197	46.7
2.856	28.0
2.817	26.5
2.745	23.4
2.035	15.2
1.976	29.4
1.973	14.9
1.727	15.7

Crystal structure
```
data_Bi4O7
_cell_length_a 6.826
_cell_length_b 7.003
_cell_length_c 7.910
_cell_angle_alpha 73.05
_cell_angle_beta 89.18
_cell_angle_gamma 78.02
_symmetry_space_group_name_H-M 'P 1'
_symmetry_Int_Tables_number 1
loop_
_symmetry_equiv_pos_as_xyz
'x,y,z'
loop_
_atom_site_label
_atom_site_fract_x
_atom_site_fract_y
_atom_site_fract_z
_atom_site_occupancy
Bi1 0.000 0.000 0.000 1
Bi2 0.000 0.000 0.500 1
Bi3 0.264 0.485 0.380 1
Bi4 0.272 0.510 0.877 1
Bi5 0.478 0.003 0.757 1
Bi6 0.522 0.997 0.243 1
Bi7 0.728 0.490 0.123 1
Bi8 0.736 0.515 0.620 1
O1 0.097 0.678 0.538 1
O2 0.104 0.678 0.127 1
O3 0.116 0.911 0.773 1
O4 0.287 0.076 0.018 1
O5 0.290 0.057 0.441 1
O6 0.468 0.345 0.137 1
O7 0.468 0.370 0.685 1
O8 0.532 0.630 0.315 1
O9 0.532 0.655 0.863 1
O10 0.710 0.943 0.559 1
O11 0.713 0.924 0.982 1
O12 0.884 0.089 0.227 1
O13 0.896 0.322 0.873 1
O14 0.903 0.322 0.462 1
```

=====

Calculated powder diffractogram
Compound: BiO2
Radiation: Cu Kα X-rays
Structure: DFT lattice parameters and positions (GGA-PBE)
No peak broadening, texture or thermal motion is included.

Top 10 peaks for 10 to 90 degrees two-theta, low angle first:
d/Å	I/Imax
5.297	63.6
5.233	63.7
3.046	54.1
3.009	29.0
2.890	41.8
2.879	100.0
2.616	16.1
2.100	20.8
2.085	31.2
1.723	30.0

Crystal structure
```
data_BiO2
_cell_length_a 3.447
_cell_length_b 12.036
_cell_length_c 10.595
_cell_angle_alpha 90.00
_cell_angle_beta 90.00
_cell_angle_gamma 90.00
_symmetry_space_group_name_H-M 'P 1'
_symmetry_Int_Tables_number 1
loop_
_symmetry_equiv_pos_as_xyz
'x,y,z'
loop_
_atom_site_label
_atom_site_fract_x
_atom_site_fract_y
_atom_site_fract_z
_atom_site_occupancy
Bi1 0.000 0.120 0.000 1
Bi2 0.000 0.344 0.440 1
Bi3 0.000 0.656 0.940 1
Bi4 0.000 0.880 0.500 1
Bi5 0.500 0.160 0.642 1
Bi6 0.500 0.363 0.093 1
Bi7 0.500 0.637 0.593 1
Bi8 0.500 0.840 0.142 1
O1 0.000 0.041 0.577 1
O2 0.000 0.289 0.634 1
O3 0.000 0.297 0.968 1
O4 0.000 0.361 0.243 1
O5 0.000 0.639 0.743 1
O6 0.000 0.703 0.468 1
O7 0.000 0.711 0.134 1
O8 0.000 0.959 0.077 1
O9 0.500 0.095 0.873 1
O10 0.500 0.173 0.120 1
O11 0.500 0.225 0.439 1
O12 0.500 0.456 0.467 1
O13 0.500 0.544 0.967 1
O14 0.500 0.775 0.939 1
O15 0.500 0.827 0.620 1
O16 0.500 0.905 0.373 1
```

=====

Calculated powder diffractogram
Compound: BiO2
Radiation: Cu Kα X-rays
Structure: DFT lattice parameters and positions (GGA-PBE)
No peak broadening, texture or thermal motion is included.

Top 10 peaks for 10 to 90 degrees two-theta, low angle first:
d/Å	I/Imax
5.777	100.0
5.698	50.5
5.527	96.9
2.998	42.7
2.983	57.6
2.888	75.3
2.848	36.1
2.508	40.4
2.463	39.7
2.424	36.9

Crystal structure
```
data_BiO2
_cell_length_a 6.987
_cell_length_b 7.120
_cell_length_c 16.588
_cell_angle_alpha 90.34
_cell_angle_beta 91.17
_cell_angle_gamma 119.25
_symmetry_space_group_name_H-M 'P 1'
_symmetry_Int_Tables_number 1
loop_
_symmetry_equiv_pos_as_xyz
'x,y,z'
loop_
_atom_site_label
_atom_site_fract_x
_atom_site_fract_y
_atom_site_fract_z
_atom_site_occupancy
Bi1 0.000 0.000 0.000 1
Bi2 0.000 0.020 0.379 1
Bi3 0.012 0.527 0.494 1
Bi4 0.193 0.863 0.165 1
Bi5 0.207 0.404 0.170 1
Bi6 0.350 0.199 0.833 1
Bi7 0.511 0.028 0.498 1
Bi8 0.511 0.525 0.498 1
Bi9 0.678 0.862 0.163 1
Bi10 0.685 0.380 0.665 1
Bi11 0.849 0.194 0.833 1
Bi12 0.849 0.694 0.832 1
O1 0.005 0.989 0.234 1
O2 0.056 0.575 0.226 1
O3 0.135 0.279 0.929 1
O4 0.137 0.867 0.913 1
O5 0.171 0.871 0.430 1
O6 0.195 0.352 0.435 1
O7 0.281 0.121 0.082 1
O8 0.349 0.700 0.096 1
O9 0.358 0.683 0.556 1
O10 0.407 0.248 0.581 1
O11 0.514 0.009 0.222 1
O12 0.535 0.578 0.225 1
O13 0.543 0.108 0.744 1
O14 0.551 0.517 0.753 1
O15 0.649 0.369 0.431 1
O16 0.680 0.836 0.438 1
O17 0.705 0.399 0.896 1
O18 0.728 0.866 0.910 1
O19 0.805 0.640 0.580 1
O20 0.822 0.246 0.585 1
O21 0.843 0.121 0.081 1
O22 0.872 0.742 0.087 1
O23 0.962 0.519 0.753 1
O24 0.996 0.990 0.769 1
```

=====

Question: Number 3 is which compound?
Answer: BiO2

=====

Question: Number 4 is which compound?
Answer: Bi2O3